K4UO5: simulated powder diffraction line list (Cu Kα), based on a DFT-relaxed cell (GGA-PBE, the Materials Project).
Peak positions follow from Bragg's law for the DFT cell and can differ from measured ones.

Atomic structure:
a b c (Å): 6.558 6.560 9.836
angles (deg): 101.66 108.83 102.18
Space group P-1 (No. 2)
Asymmetric unit:
1 K 0.000 0.000 0.000 [1 per cell]
2 K 0.000 0.500 0.500 [1 per cell]
3 K 0.206 0.095 0.700 [2 per cell]
4 K 0.401 0.204 0.403 [2 per cell]
5 K 0.416 0.704 0.902 [2 per cell]
6 U 0.189 0.600 0.195 [2 per cell]
7 O 0.029 0.330 0.236 [2 per cell]
8 O 0.143 0.395 0.965 [2 per cell]
9 O 0.176 0.795 0.387 [2 per cell]
10 O 0.356 0.871 0.158 [2 per cell]
11 O 0.500 0.440 0.695 [2 per cell]

The 10 most intense peaks (2θ = 10–80°), sorted by position:
index, 2θ/deg, d [Å], I (rel.)
1 0 -1, 14.45, 6.130, 100.0
0 1 -1, 14.96, 5.923, 44.0
1 -1 0, 17.44, 5.085, 27.2
1 -2 0, 28.51, 3.130, 36.8
2 0 -2, 29.14, 3.064, 28.2
0 1 -3, 29.35, 3.043, 34.9
1 1 1, 29.53, 3.025, 27.4
2 -1 1, 33.35, 2.686, 39.1
-1 1 3, 33.63, 2.665, 40.5
1 2 -2, 34.31, 2.614, 34.7